[1]
Simulated X-ray powder pattern
Compound: Rb14Ba2O9
Radiation: Cu Kα
Structure: a cell relaxed with PBE
Lines closer than 0.1° are merged.

Largest 10 diffraction maxima, sorted by position, 2θ from 5° to 70°:
(2 0 1), 25.86°, d 3.445, rel. 221
(0 1 3), 26.25°, d 3.395, rel. 227
(1 1 2), 26.38°, d 3.379, rel. 1000
(3 -1 1), 33.75°, d 2.656, rel. 373
(3 0 0), 37.37°, d 2.407, rel. 420
(2 -1 4), 37.92°, d 2.372, rel. 544
(4 -2 2), 46.32°, d 1.960, rel. 126
(3 1 3), 51.45°, d 1.776, rel. 142
(2 2 4), 54.30°, d 1.690, rel. 114
(3 0 6), 61.74°, d 1.503, rel. 123

Cell and atoms:
Cell lengths 8.3367, 8.3367, 11.5416 Å; angles 90.00, 90.00, 120.00 degrees
Space group P-3 (No. 147)
Asymmetric unit:
Rb1 0.0000 0.0000 0.2451 (multiplicity 2)
Rb2 0.0502 0.6869 0.4081 (multiplicity 6)
Rb3 0.0753 0.3789 0.0892 (multiplicity 6)
Ba1 0.3333 0.6667 0.7614 (multiplicity 2)
O1 0.0000 0.0000 0.5000 (multiplicity 1)
O2 0.0617 0.3554 0.8396 (multiplicity 6)
O3 0.3333 0.6667 0.5356 (multiplicity 2)

[2]
Simulated X-ray powder pattern
Compound: Rb3BaRe2O8
Radiation: Cu Kα
Structure: a cell relaxed with PBE
Lines closer than 0.1° are merged.

Largest 10 diffraction maxima, sorted by position, 2θ from 5° to 70°:
(1 0 1), 19.01°, d 4.669, rel. 403
(0 1 2), 26.64°, d 3.346, rel. 835
(1 1 0), 27.36°, d 3.259, rel. 1000
(2 0 2), 38.56°, d 2.335, rel. 419
(1 0 4), 46.59°, d 1.949, rel. 121
(1 2 2), 47.93°, d 1.898, rel. 321
(3 0 0), 48.37°, d 1.882, rel. 205
(0 2 4), 54.88°, d 1.673, rel. 113
(2 2 0), 56.47°, d 1.630, rel. 167
(3 1 2), 63.50°, d 1.465, rel. 153

Cell and atoms:
Cell lengths 6.5184, 6.5184, 8.3092 Å; angles 90.00, 90.00, 120.00 degrees
Space group P-3m1 (No. 164)
Asymmetric unit:
Rb1 0.0000 0.0000 0.0000 (multiplicity 1)
Rb2 0.3333 0.6667 0.6734 (multiplicity 2)
Ba1 0.0000 0.0000 0.5000 (multiplicity 1)
Re1 0.3333 0.6667 0.2127 (multiplicity 2)
O1 0.1832 0.3664 0.3013 (multiplicity 6)
O2 0.3333 0.6667 0.9971 (multiplicity 2)

[3]
Simulated X-ray powder pattern
Compound: Rb2BaSb2O6
Radiation: Cu Kα
Structure: a cell relaxed with PBE
Lines closer than 0.1° are merged.

Largest 10 diffraction maxima, sorted by position, 2θ from 5° to 70°:
(2 0 0), 18.49°, d 4.799, rel. 246
(1 1 1), 23.94°, d 3.717, rel. 341
(0 2 0), 26.18°, d 3.404, rel. 560
(1 1 -2), 26.63°, d 3.347, rel. 816
(3 1 -1), 26.84°, d 3.322, rel. 1000
(4 0 0), 37.44°, d 2.402, rel. 246
(2 2 1), 38.93°, d 2.314, rel. 177
(4 2 -3), 46.24°, d 1.963, rel. 313
(3 3 -1), 46.60°, d 1.949, rel. 230
(3 1 2), 51.15°, d 1.786, rel. 250

Cell and atoms:
Cell lengths 11.453, 6.808, 7.905 Å; angles 90.00, 123.07, 90.00 degrees
Space group C2/m (No. 12)
Asymmetric unit:
Rb1 0.205 0.000 0.176 (multiplicity 4)
Ba1 0.000 0.000 0.500 (multiplicity 2)
Sb1 0.035 0.500 0.205 (multiplicity 4)
O1 0.054 0.270 0.781 (multiplicity 8)
O2 0.231 0.500 0.395 (multiplicity 4)

[4]
Simulated X-ray powder pattern
Compound: Rb3BaSe2O6
Radiation: Cu Kα
Structure: a cell relaxed with PBE
Lines closer than 0.1° are merged.

Largest 10 diffraction maxima, sorted by position, 2θ from 5° to 70°:
(1 1 0), 28.07°, d 3.179, rel. 975
(0 1 2), 28.41°, d 3.141, rel. 1000
(2 0 2), 40.36°, d 2.235, rel. 521
(3 0 0), 49.67°, d 1.836, rel. 189
(1 2 2), 49.88°, d 1.828, rel. 367
(1 0 4), 50.53°, d 1.806, rel. 168
(2 2 0), 58.02°, d 1.590, rel. 166
(0 2 4), 58.79°, d 1.571, rel. 143
(3 1 2), 65.85°, d 1.418, rel. 190
(2 1 4), 66.39°, d 1.408, rel. 175

Cell and atoms:
Cell lengths 6.3588, 6.3588, 7.6484 Å; angles 90.00, 90.00, 120.00 degrees
Space group P-3m1 (No. 164)
Asymmetric unit:
Rb1 0.0000 0.0000 0.0000 (multiplicity 1)
Rb2 0.3333 0.6667 0.6734 (multiplicity 2)
Ba1 0.0000 0.0000 0.5000 (multiplicity 1)
Se1 0.3333 0.6667 0.1860 (multiplicity 2)
O1 0.1919 0.3839 0.2937 (multiplicity 6)

[5]
Simulated X-ray powder pattern
Compound: RbBa2Se2O6
Radiation: Cu Kα
Structure: a cell relaxed with PBE
Lines closer than 0.1° are merged.

Largest 10 diffraction maxima, sorted by position, 2θ from 5° to 70°:
(1 -1 0), 16.52°, d 5.368, rel. 369
(1 1 0), 27.82°, d 3.207, rel. 1000
(1 -2 0), 28.21°, d 3.163, rel. 901
(2 -1 0), 28.91°, d 3.088, rel. 864
(1 0 -2), 29.36°, d 3.042, rel. 830
(1 -1 2), 30.48°, d 2.933, rel. 911
(0 1 2), 31.21°, d 2.866, rel. 856
(0 2 -2), 39.79°, d 2.266, rel. 454
(-2 2 2), 42.52°, d 2.126, rel. 360
(0 3 0), 48.98°, d 1.860, rel. 450

Cell and atoms:
Cell lengths 6.182, 6.340, 7.020 Å; angles 92.76, 92.30, 118.11 degrees
Space group P-1 (No. 2)
Asymmetric unit:
Rb1 0.000 0.000 0.000 (multiplicity 1)
Ba1 0.338 0.679 0.644 (multiplicity 2)
Se1 0.315 0.664 0.161 (multiplicity 2)
O1 0.120 0.408 0.288 (multiplicity 2)
O2 0.278 0.874 0.307 (multiplicity 2)
O3 0.406 0.310 0.751 (multiplicity 2)

[6]
Simulated X-ray powder pattern
Compound: RbBaSnO4
Radiation: Cu Kα
Structure: a cell relaxed with PBE
Lines closer than 0.1° are merged.

Largest 10 diffraction maxima, sorted by position, 2θ from 5° to 70°:
(0 2 0), 12.91°, d 6.859, rel. 144
(1 3 1), 28.67°, d 3.113, rel. 1000
(0 0 2), 29.61°, d 3.017, rel. 317
(2 0 0), 29.83°, d 2.996, rel. 311
(1 5 1), 39.07°, d 2.305, rel. 99
(0 6 0), 39.41°, d 2.286, rel. 138
(2 0 2), 42.53°, d 2.126, rel. 331
(1 3 3), 51.97°, d 1.760, rel. 199
(3 3 1), 52.23°, d 1.751, rel. 196
(2 6 2), 59.37°, d 1.557, rel. 157

Cell and atoms:
Cell lengths 5.991, 13.718, 6.033 Å; angles 90.00, 90.00, 90.00 degrees
Space group Cmcm (No. 63)
Asymmetric unit:
Rb1 0.000 0.095 0.250 (multiplicity 4)
Ba1 0.000 0.392 0.250 (multiplicity 4)
Sn1 0.000 0.258 0.750 (multiplicity 4)
O1 0.000 0.109 0.750 (multiplicity 4)
O2 0.000 0.407 0.750 (multiplicity 4)
O3 0.250 0.250 0.000 (multiplicity 8)

[7]
Simulated X-ray powder pattern
Compound: RbBa4Sn3O12
Radiation: Cu Kα
Structure: a cell relaxed with PBE
Lines closer than 0.1° are merged.

Largest 8 diffraction maxima, sorted by position, 2θ from 5° to 70°:
(1 1 0), 14.26°, d 6.212, rel. 14
(2 1 1), 24.82°, d 3.587, rel. 7
(2 2 0), 28.74°, d 3.106, rel. 1000
(2 2 2), 35.39°, d 2.536, rel. 33
(4 0 0), 41.10°, d 2.196, rel. 308
(4 2 2), 50.92°, d 1.793, rel. 413
(4 4 0), 59.52°, d 1.553, rel. 195
(6 2 0), 67.42°, d 1.389, rel. 192

Cell and atoms:
Cell lengths 8.785, 8.785, 8.785 Å; angles 90.00, 90.00, 90.00 degrees
Space group Im-3m (No. 229)
Asymmetric unit:
Rb1 0.000 0.000 0.000 (multiplicity 2)
Ba1 0.250 0.250 0.250 (multiplicity 8)
Sn1 0.000 0.000 0.500 (multiplicity 6)
O1 0.000 0.000 0.279 (multiplicity 12)
O2 0.000 0.250 0.500 (multiplicity 12)

[8]
Simulated X-ray powder pattern
Compound: RbBaTaO4
Radiation: Cu Kα
Structure: a cell relaxed with PBE
Lines closer than 0.1° are merged.

Largest 10 diffraction maxima, sorted by position, 2θ from 5° to 70°:
(0 0 1), 10.96°, d 8.073, rel. 1000
(1 0 1), 17.36°, d 5.110, rel. 373
(0 1 1), 17.47°, d 5.077, rel. 491
(0 1 2), 25.95°, d 3.433, rel. 928
(0 2 0), 27.32°, d 3.264, rel. 530
(2 0 1), 28.61°, d 3.120, rel. 316
(2 1 -1), 30.62°, d 2.920, rel. 634
(2 1 2), 37.82°, d 2.379, rel. 239
(2 2 1), 39.97°, d 2.255, rel. 342
(2 1 3), 46.08°, d 1.970, rel. 289

Cell and atoms:
Cell lengths 6.957, 6.529, 8.089 Å; angles 90.00, 93.57, 90.00 degrees
Space group P2_1/m (No. 11)
Asymmetric unit:
Rb1 0.128 0.250 0.372 (multiplicity 2)
Ba1 0.309 0.250 0.921 (multiplicity 2)
Ta1 0.194 0.750 0.149 (multiplicity 2)
O1 0.006 0.750 0.306 (multiplicity 2)
O2 0.059 0.750 0.944 (multiplicity 2)
O3 0.362 0.524 0.162 (multiplicity 4)